# Na4LaPa3N8
Simulated powder X-ray diffraction pattern, Cu Kα. Input: a cell relaxed with GGA-PBE.
Kinematic intensities with the Lorentz-polarization factor, no thermal factor.

Top 12 peaks for 2θ = 15–90°, in order of rising 2θ:
(hkl)	2theta	d_spacing	I/Imax
2 0 -1	15.48	5.724	100
2 0 1	28.78	3.102	20
0 2 1	29.24	3.054	38
0 0 2	30.38	2.942	23
2 2 0	30.53	2.928	45
4 0 -2	31.26	2.862	23
4 0 0	35.15	2.553	24
2 2 -2	35.78	2.510	46
4 2 -1	38.96	2.311	16
4 2 -3	47.36	1.919	13
2 2 2	50.45	1.809	17
6 2 -2	51.60	1.771	15

Atomic structure:
Cell: 12.2429 7.1476 7.0532 Å, 90.00 123.47 90.00°
Space group C2/m (No. 12)
Symmetry-distinct sites (fractional):
Na1 0.0000 0.0000 0.0000 (multiplicity 2)
Na2 0.0000 0.5000 0.0000 (multiplicity 2)
Na3 0.2500 0.2500 0.5000 (multiplicity 4)
La1 0.0000 0.0000 0.5000 (multiplicity 2)
Pa1 0.0000 0.5000 0.5000 (multiplicity 2)
Pa2 0.2500 0.2500 0.0000 (multiplicity 4)
N1 0.0247 0.2708 0.7374 (multiplicity 8)
N2 0.2350 0.5000 0.7749 (multiplicity 4)
N3 0.2422 0.0000 0.7965 (multiplicity 4)

# OsBr6Cl2
Simulated powder X-ray diffraction pattern, Cu Kα. Input: a cell relaxed with GGA-PBE.
Kinematic intensities with the Lorentz-polarization factor, no thermal factor.

Top 12 peaks for 2θ = 15–90°, in order of rising 2θ:
(hkl)	2theta	d_spacing	I/Imax
1 0 -2	16.09	5.509	100
1 1 -1	16.34	5.424	36
0 0 2	16.66	5.320	33
2 1 -1	25.54	3.488	23
1 2 -1	25.73	3.462	24
1 2 0	26.08	3.417	34
2 1 -2	26.21	3.400	30
2 2 -2	33.03	2.712	27
0 0 4	33.69	2.660	34
3 1 -4	40.59	2.223	20
2 2 2	42.82	2.112	19
1 0 -6	47.35	1.920	28

Atomic structure:
Cell: 7.8412 7.7892 11.7163 Å, 90.00 114.74 90.00°
Space group P2_1/c (No. 14)
Symmetry-distinct sites (fractional):
Os1 0.0000 0.0000 0.0000 (multiplicity 2)
Br1 0.1744 0.2200 0.5370 (multiplicity 4)
Br2 0.2858 0.6702 0.5203 (multiplicity 4)
Br3 0.4505 0.1959 0.7545 (multiplicity 4)
Cl1 0.0721 0.5291 0.7097 (multiplicity 4)